Simulated powder X-ray diffraction pattern
Compound: ErBiAs
Radiation: Cu Kα, 1.54184 Å
Structure: a DFT-relaxed cell (GGA-PBE, Alexandria)
Lines closer than 0.1° are merged.

abc: 12.199 4.210 6.260
angles: 90.00 100.69 90.00
Space group C2/m (No. 12)
Unique sites:
Er (0.097, 0.000, 0.276) x4
Bi (0.193, 0.000, 0.815) x4
As (0.000, 0.500, 0.000) x2
As (0.000, 0.500, 0.500) x2

Principal peaks in the range 2θ from 10° to 80°, low angle first:
d (Å), two_theta, I_rel, h k l
3.972, 22.38, 30, 1 1 0
3.075, 29.03, 23, 0 0 2
2.915, 30.67, 43, 4 0 -1
2.898, 30.85, 75, 3 1 0
2.769, 32.33, 23, 3 1 -1
2.551, 35.18, 22, 2 0 2
2.508, 35.81, 100, 1 1 -2
2.495, 35.99, 53, 3 1 1
2.105, 42.97, 34, 0 2 0
1.577, 58.55, 26, 3 1 3


Simulated powder X-ray diffraction pattern
Compound: HoThOs
Radiation: Cu Kα, 1.54184 Å
Structure: a DFT-relaxed cell (GGA-PBE, Alexandria)
Lines closer than 0.1° are merged.

abc: 4.732 12.763 7.512
angles: 90.00 90.00 90.00
Space group Amm2 (No. 38)
Unique sites:
Ho (0.000, 0.000, 0.000) x2
Ho (0.000, 0.206, 0.388) x4
Th (0.500, 0.000, 0.328) x2
Th (0.500, 0.135, 0.720) x4
Os (0.000, 0.000, 0.593) x2
Os (0.500, 0.163, 0.086) x4

Principal peaks in the range 2θ from 10° to 80°, low angle first:
d (Å), two_theta, I_rel, h k l
2.942, 30.38, 47, 1 0 2
2.916, 30.66, 100, 1 3 1
2.672, 33.54, 88, 1 2 2
2.646, 33.88, 47, 1 4 0
2.457, 36.57, 22, 0 1 3
2.366, 38.03, 61, 2 0 0
2.163, 41.76, 20, 1 4 2
2.158, 41.86, 38, 0 3 3
1.595, 57.83, 33, 2 3 3
1.407, 66.43, 22, 1 7 3


Simulated powder X-ray diffraction pattern
Compound: Nb7B6C3
Radiation: Cu Kα, 1.54184 Å
Structure: a DFT-relaxed cell (GGA-PBE, Alexandria)
Lines closer than 0.1° are merged.

abc: 3.159 33.259 3.273
angles: 90.00 90.00 90.00
Space group Cmmm (No. 65)
Unique sites:
Nb (0.000, 0.000, 0.000) x2
Nb (0.000, 0.131, 0.000) x4
Nb (0.000, 0.290, 0.000) x4
Nb (0.000, 0.434, 0.500) x4
B (0.000, 0.182, 0.500) x4
B (0.000, 0.236, 0.500) x4
B (0.000, 0.347, 0.500) x4
C (0.000, 0.067, 0.000) x4
C (0.000, 0.500, 0.500) x2

Principal peaks in the range 2θ from 10° to 80°, low angle first:
d (Å), two_theta, I_rel, h k l
2.818, 31.75, 20, 0 6 1
2.630, 34.09, 100, 1 7 0
2.572, 34.89, 35, 0 8 1
2.376, 37.87, 34, 0 14 0
2.267, 39.75, 57, 1 1 1
2.151, 42.01, 31, 1 5 1
2.050, 44.17, 22, 1 7 1
1.636, 56.21, 19, 0 0 2
1.587, 58.12, 19, 1 15 1
1.389, 67.40, 27, 1 7 2


Simulated powder X-ray diffraction pattern
Compound: Ce5Sn2Au2
Radiation: Cu Kα, 1.54184 Å
Structure: a DFT-relaxed cell (GGA-PBE, Alexandria)
Lines closer than 0.1° are merged.

abc: 15.643 8.185 8.169
angles: 90.00 90.00 90.00
Space group Cmce (No. 64)
Unique sites:
Ce (0.000, 0.000, 0.000) x4
Ce (0.131, 0.174, 0.329) x16
Sn (0.209, 0.000, 0.000) x8
Au (0.000, 0.126, 0.627) x8

Principal peaks in the range 2θ from 10° to 80°, low angle first:
d (Å), two_theta, I_rel, h k l
7.821, 11.31, 41, 2 0 0
3.314, 26.90, 29, 2 2 1
2.993, 29.85, 84, 3 1 2
2.891, 30.93, 33, 0 2 2
2.826, 31.66, 64, 4 2 0
2.672, 33.54, 78, 4 2 1
2.551, 35.18, 100, 1 3 1
2.377, 37.86, 33, 5 1 2
1.993, 45.51, 27, 5 1 3
1.460, 63.75, 22, 7 3 3


Simulated powder X-ray diffraction pattern
Compound: Cd3Pb2Se4I2O12
Radiation: Cu Kα, 1.54184 Å
Structure: a DFT-relaxed cell (GGA-PBE, Alexandria)
Lines closer than 0.1° are merged.

abc: 11.297 5.506 17.112
angles: 90.00 117.89 90.00
Space group P2/c (No. 13)
Unique sites:
Cd (0.000, 0.186, 0.250) x2
Cd (0.008, 0.292, 0.594) x4
Pb (0.294, 0.253, 0.503) x4
Se (0.205, 0.237, 0.128) x4
Se (0.231, 0.245, 0.846) x4
I (0.494, 0.240, 0.401) x4
O (0.080, 0.320, 0.154) x4
O (0.139, 0.153, 0.739) x4
O (0.151, 0.034, 0.571) x4
O (0.155, 0.442, 0.039) x4
O (0.156, 0.042, 0.891) x4
O (0.157, 0.490, 0.358) x4

Principal peaks in the range 2θ from 10° to 80°, low angle first:
d (Å), two_theta, I_rel, h k l
8.130, 10.88, 14, 1 0 -2
7.562, 11.70, 44, 0 0 2
4.320, 20.56, 18, 1 1 1
3.336, 26.73, 22, 2 1 1
3.147, 28.36, 100, 1 1 3
3.059, 29.19, 89, 3 1 -3
2.849, 31.39, 29, 2 0 -6
2.753, 32.52, 36, 0 2 0
1.980, 45.83, 26, 2 2 -6
1.850, 49.27, 17, 4 2 0